[1]
Structure and calculated X-ray powder pattern of Mg2Hg2Pd3 (a structure optimized by DFT (GGA-PBE); CuKα).
No peak broadening, texture or thermal motion is included.

Structural model:
```
7
Lattice="4.5068 0.0000 0.0000 2.2308 3.9290 0.0000 2.2189 1.3184 7.3803" Properties=species:S:1:pos:R:3 pbc="T T T"
Mg 1.1183 0.6524 1.0532
Mg 7.8383 4.5950 6.3270
Hg 3.3504 1.9502 2.8697
Hg 5.6061 3.2972 4.5106
Pd 3.3523 1.9829 5.7418
Pd 3.3688 1.9645 0.0000
Pd 5.6042 3.2645 1.6385
```

Largest 6 diffraction maxima, low angle first, 2θ = 10–90°:
- 2θ = 23.01°, intensity 52.6
- 2θ = 23.17°, intensity 26.8
- 2θ = 36.47°, intensity 40.2
- 2θ = 39.70°, intensity 35.9
- 2θ = 39.87°, intensity 100.0
- 2θ = 39.98°, intensity 67.3

***

[2]
Structure and calculated X-ray powder pattern of NaZrBi (a structure optimized by DFT (GGA-PBE); CuKα).
No peak broadening, texture or thermal motion is included.

Structural model:
```
6
Lattice="-1.9247 1.9247 12.4139 1.9247 -1.9247 12.4139 1.9247 1.9247 -12.4139" Properties=species:S:1:pos:R:3 pbc="T T T"
Na 0.0000 0.0000 1.7772
Na 0.0000 0.0000 23.0505
Zr 0.0000 0.0000 5.3861
Zr 0.0000 0.0000 19.4416
Bi 0.0000 0.0000 8.5210
Bi 0.0000 0.0000 16.3067
```

Largest 6 diffraction maxima, low angle first, 2θ = 10–90°:
- 2θ = 25.52°, intensity 60.4
- 2θ = 32.90°, intensity 72.2
- 2θ = 33.71°, intensity 29.1
- 2θ = 34.38°, intensity 100.0
- 2θ = 40.22°, intensity 49.5
- 2θ = 59.71°, intensity 40.6

***

[3]
Structure and calculated X-ray powder pattern of Li7CuSi2O8 (a structure optimized by DFT (GGA-PBE); CuKα).
No peak broadening, texture or thermal motion is included.

Structural model:
```
36
Lattice="7.7528 -3.1791 0.0000 7.7528 3.1791 0.0000 -0.2709 0.0000 7.8151" Properties=species:S:1:pos:R:3 pbc="T T T"
Li 0.0000 0.0000 0.0000
Li 4.8949 1.6210 1.2166
Li 0.8634 0.0000 5.4941
Li 6.2324 1.5428 4.8902
Li 9.0024 1.5428 2.9248
Li 5.1893 0.0000 6.6653
Li 10.3398 1.6210 6.5985
Li 7.7528 0.0000 0.0000
Li 4.8949 -1.6210 1.2166
Li 10.0455 0.0000 1.1498
Li 6.2324 -1.5428 4.8902
Li 9.0024 -1.5428 2.9248
Li 14.3714 0.0000 2.3210
Li 10.3398 -1.6210 6.5985
Cu 4.1448 0.0000 3.1151
Cu 11.0900 0.0000 4.7000
Si 2.2387 0.0000 1.1788
Si 6.6056 0.0000 2.2349
Si 8.6292 0.0000 5.5801
Si 12.9961 0.0000 6.6363
O 4.4554 1.8201 6.0938
O 0.7406 0.0000 1.8761
O 1.7649 0.0000 7.3614
O 6.0238 1.3604 2.9909
O 5.9379 0.0000 0.7114
O 9.2110 1.3604 4.8242
O 10.7793 1.8201 1.7213
O 7.0020 0.0000 5.7845
O 8.2328 0.0000 2.0306
O 4.4554 -1.8201 6.0938
O 6.0238 -1.3604 2.9909
O 9.2969 0.0000 7.1036
O 9.2110 -1.3604 4.8242
O 13.4698 0.0000 0.4537
O 14.4942 0.0000 5.9390
O 10.7793 -1.8201 1.7213
```

Largest 6 diffraction maxima, low angle first, 2θ = 10–90°:
- 2θ = 11.39°, intensity 22.9
- 2θ = 18.76°, intensity 100.0
- 2θ = 19.00°, intensity 20.6
- 2θ = 28.07°, intensity 25.2
- 2θ = 37.99°, intensity 16.5
- 2θ = 38.61°, intensity 35.7

***

[4]
Structure and calculated X-ray powder pattern of AcPr2TcN4 (a structure optimized by DFT (GGA-PBE); CuKα).
No peak broadening, texture or thermal motion is included.

Structural model:
```
16
Lattice="1.8096 -6.1898 0.0000 1.8096 6.1898 0.0000 0.0000 0.0000 12.2180" Properties=species:S:1:pos:R:3 pbc="T T T"
Ac 1.8096 4.7917 9.1635
Ac 1.8096 -4.7917 3.0545
Pr 1.8096 1.6341 6.6095
Pr 1.8096 1.6341 11.7175
Pr 1.8096 -1.6341 0.5005
Pr 1.8096 -1.6341 5.6085
Tc 1.8096 4.2786 3.0545
Tc 1.8096 -4.2786 9.1635
N 0.0000 0.0000 0.0000
N 0.0000 0.0000 6.1090
N 1.8096 2.8772 1.6257
N 1.8096 2.8772 4.4833
N 1.8096 1.0219 9.1635
N 1.8096 -1.0219 3.0545
N 1.8096 -2.8772 7.7347
N 1.8096 -2.8772 10.5923
```

Largest 6 diffraction maxima, low angle first, 2θ = 10–90°:
- 2θ = 26.19°, intensity 47.1
- 2θ = 28.85°, intensity 56.8
- 2θ = 29.24°, intensity 42.7
- 2θ = 29.58°, intensity 100.0
- 2θ = 33.75°, intensity 31.0
- 2θ = 36.14°, intensity 79.9

***

[5]
Structure and calculated X-ray powder pattern of Nd4HgTeSe2 (a structure optimized by DFT (GGA-PBE); CuKα).
No peak broadening, texture or thermal motion is included.

Structural model:
```
8
Lattice="7.5539 0.0000 0.0000 0.0000 4.2629 0.0000 -2.3976 0.0000 7.2472" Properties=species:S:1:pos:R:3 pbc="T T T"
Nd 1.2521 0.0000 1.6752
Nd 0.0841 2.1315 5.5392
Nd 5.0722 2.1315 1.7080
Nd 3.9042 0.0000 5.5720
Hg -1.1988 0.0000 3.6236
Te 2.5781 2.1315 3.6236
Se 0.0000 2.1315 0.0000
Se 3.7769 0.0000 0.0000
```

Largest 6 diffraction maxima, low angle first, 2θ = 10–90°:
- 2θ = 29.02°, intensity 100.0
- 2θ = 40.57°, intensity 13.0
- 2θ = 41.33°, intensity 24.9
- 2θ = 41.66°, intensity 25.3
- 2θ = 52.20°, intensity 13.0
- 2θ = 60.14°, intensity 12.3

***

[6]
Structure and calculated X-ray powder pattern of TbSm2Ge2Pt7 (a structure optimized by DFT (GGA-PBE); CuKα).
No peak broadening, texture or thermal motion is included.

Structural model:
```
12
Lattice="2.9100 -2.8788 0.0000 2.9100 2.8788 0.0000 -2.1290 0.0000 13.9615" Properties=species:S:1:pos:R:3 pbc="T T T"
Tb 0.0000 0.0000 0.0000
Sm -0.0827 0.0000 4.9863
Sm 3.7737 0.0000 8.9753
Ge 0.7739 0.0000 10.3950
Ge 2.9171 0.0000 3.5665
Pt 1.4607 1.4378 2.1537
Pt 0.9524 0.0000 7.9596
Pt 2.2303 1.4378 11.8078
Pt 2.9100 0.0000 0.0000
Pt 1.4607 -1.4378 2.1537
Pt 2.7386 0.0000 6.0019
Pt 2.2303 -1.4378 11.8078
```

Largest 6 diffraction maxima, low angle first, 2θ = 10–90°:
- 2θ = 31.76°, intensity 49.6
- 2θ = 34.08°, intensity 52.3
- 2θ = 35.50°, intensity 79.8
- 2θ = 36.71°, intensity 100.0
- 2θ = 44.29°, intensity 94.1
- 2θ = 44.52°, intensity 35.4

***

[7]
Structure and calculated X-ray powder pattern of KRu2Br (a structure optimized by DFT (GGA-PBE); CuKα).
No peak broadening, texture or thermal motion is included.

Structural model:
```
4
Lattice="3.2623 -1.8857 0.0000 3.2623 1.8857 0.0000 -2.1823 0.0000 7.9908" Properties=species:S:1:pos:R:3 pbc="T T T"
K 0.0000 0.0000 0.0000
Ru 2.1820 0.0000 2.6786
Ru 4.3586 0.0000 3.6462
Br -0.0024 0.0000 5.5618
```

Largest 6 diffraction maxima, low angle first, 2θ = 10–90°:
- 2θ = 11.07°, intensity 100.0
- 2θ = 28.34°, intensity 27.3
- 2θ = 31.20°, intensity 19.5
- 2θ = 33.20°, intensity 94.0
- 2θ = 40.88°, intensity 17.4
- 2θ = 48.29°, intensity 39.4

***

[8]
Structure and calculated X-ray powder pattern of RbHo2AuS4 (a structure optimized by DFT (GGA-PBE); CuKα).
No peak broadening, texture or thermal motion is included.

Structural model:
```
16
Lattice="2.0220 -6.8952 0.0000 2.0220 6.8952 0.0000 0.0000 0.0000 14.1225" Properties=species:S:1:pos:R:3 pbc="T T T"
Rb 2.0220 5.2603 10.5919
Rb 2.0220 -5.2603 3.5306
Ho 2.0220 1.8049 7.9984
Ho 2.0220 1.8049 13.1854
Ho 2.0220 -1.8049 0.9371
Ho 2.0220 -1.8049 6.1242
Au 2.0220 4.6750 3.5306
Au 2.0220 -4.6750 10.5919
S 0.0000 0.0000 0.0000
S 0.0000 0.0000 7.0613
S 2.0220 3.3239 1.4026
S 2.0220 3.3239 5.6587
S 2.0220 0.7873 10.5919
S 2.0220 -0.7873 3.5306
S 2.0220 -3.3239 8.4639
S 2.0220 -3.3239 12.7199
```

Largest 6 diffraction maxima, low angle first, 2θ = 10–90°:
- 2θ = 14.29°, intensity 84.5
- 2θ = 26.20°, intensity 46.0
- 2θ = 29.84°, intensity 34.8
- 2θ = 32.09°, intensity 100.0
- 2θ = 34.32°, intensity 42.4
- 2θ = 44.16°, intensity 42.3